No. 1
Structure and theoretical powder diffractogram of CeThOs2 (a DFT-relaxed cell (PBE, Alexandria); Cu Kα (λ = 1.5418 Å)).
No peak broadening, texture or thermal motion is included.

Crystal structure
Cell: 4.9774 4.9774 4.9774 Å, 60.00 60.00 60.00°
Sites, in units of the cell vectors:
Ce: 0.0000 0.0000 0.0000
Th: 0.5000 0.5000 0.5000
Os: 0.2500 0.2500 0.2500
Os: 0.7500 0.7500 0.7500

Most intense lines, 2θ from 10° to 80°, sorted by position:
| d_spacing | 2theta | I (rel.) |
| --- | --- | --- |
| 4.064 | 21.9 | 29 |
| 2.489 | 36.1 | 1000 |
| 2.122 | 42.6 | 17 |
| 1.760 | 52.0 | 179 |
| 1.615 | 57.0 | 8 |
| 1.437 | 64.9 | 370 |
| 1.355 | 69.4 | 6 |
| 1.244 | 76.6 | 116 |

No. 2
Structure and theoretical powder diffractogram of CeTh2Os3 (a DFT-relaxed cell (PBE, Alexandria); Cu Kα (λ = 1.5418 Å)).
No peak broadening, texture or thermal motion is included.

Crystal structure
Cell: 7.0659 7.0659 5.6283 Å, 90.00 90.00 99.37°
Sites, in units of the cell vectors:
Ce: 0.1059 0.8941 0.5000
Ce: 0.8941 0.1059 0.0000
Th: 0.1912 0.4285 0.6399
Th: 0.4285 0.1912 0.1399
Th: 0.5715 0.8088 0.6399
Th: 0.8088 0.5715 0.1399
Os: 0.1576 0.8424 0.9878
Os: 0.2058 0.4927 0.1407
Os: 0.4927 0.2058 0.6407
Os: 0.5073 0.7942 0.1407
Os: 0.7942 0.5073 0.6407
Os: 0.8424 0.1576 0.4878

Most intense lines, 2θ from 10° to 80°, sorted by position:
| d_spacing | 2theta | I (rel.) |
| --- | --- | --- |
| 2.933 | 30.5 | 1000 |
| 2.814 | 31.8 | 531 |
| 2.694 | 33.3 | 788 |
| 2.610 | 34.4 | 380 |
| 2.396 | 37.5 | 415 |
| 2.324 | 38.8 | 690 |
| 2.153 | 42.0 | 305 |
| 2.030 | 44.6 | 344 |
| 1.946 | 46.7 | 332 |
| 1.791 | 51.0 | 554 |